This entry pairs a crystal structure of Bi3SbW2O12 with its computed powder X-ray diffraction pattern. Radiation: Cu Kα (λ = 1.5418 Å). Structure: a cell relaxed with PBE+U.
No peak broadening, texture or thermal motion is included.

The 10 most intense peaks (15 to 90 degrees two-theta), sorted by position:
27.70°, I 100
27.84°, I 33
31.25°, I 23
32.37°, I 18
32.76°, I 18
45.61°, I 17
46.60°, I 9
46.84°, I 9
53.42°, I 12
55.45°, I 9

Structural model:
```
data_Bi3SbW2O12
_cell_length_a 5.4678
_cell_length_b 5.5309
_cell_length_c 9.0177
_cell_angle_alpha 72.22
_cell_angle_beta 89.68
_cell_angle_gamma 89.72
_space_group_name_H-M_alt 'P 1'
_space_group_IT_number 1
loop_
_space_group_symop_operation_xyz
'x,y,z'
loop_
_atom_site_label
_atom_site_fract_x
_atom_site_fract_y
_atom_site_fract_z
Bi1 0.0000 0.0000 0.0000
Bi2 0.0568 0.3319 0.3093
Bi3 0.5001 0.8345 0.3109
Sb1 0.5644 0.4922 0.0164
W1 0.0262 0.5955 0.6567
W2 0.5262 0.0938 0.6577
O1 0.1167 0.6548 0.4420
O2 0.2521 0.1161 0.1632
O3 0.2672 0.8029 0.6974
O4 0.2756 0.2973 0.6992
O5 0.3098 0.6145 0.1601
O6 0.4380 0.1537 0.4425
O7 0.6117 0.9381 0.8702
O8 0.7523 0.1440 0.1520
O9 0.7732 0.8382 0.6116
O10 0.7738 0.3389 0.6130
O11 0.7983 0.6341 0.1477
O12 0.9384 0.4422 0.8701
```